[1]
Ac2ErZn3Sn4: calculated X-ray diffraction stick pattern (Cu Ka), based on a cell relaxed with GGA-PBE.
Lines closer than 0.1° are merged.

Top 8 peaks for 15 to 90 degrees two-theta, by intensity:
Position (°2θ)	Rel. int.
30.79	100
28.97	48
38.69	46
49.04	28
41.41	25
65.15	24
57.96	19
55.85	19

Crystal structure
```
10
Lattice="4.6550 0.0000 0.0000 0.0000 4.6550 0.0000 0.0000 0.0000 12.3386" Properties=species:S:1:pos:R:3 pbc="T T T"
Ac 0.0000 2.3275 2.8807
Ac 2.3275 0.0000 9.4579
Er 0.0000 0.0000 6.1693
Zn 0.0000 2.3275 10.7360
Zn 2.3275 0.0000 1.6026
Zn 2.3275 2.3275 6.1693
Sn 0.0000 0.0000 0.0000
Sn 0.0000 2.3275 8.0510
Sn 2.3275 0.0000 4.2876
Sn 2.3275 2.3275 0.0000
```

[2]
AcTb5Er12: calculated X-ray diffraction stick pattern (Cu Ka), based on a cell relaxed with GGA-PBE.
Lines closer than 0.1° are merged.

Top 8 peaks for 15 to 90 degrees two-theta, by intensity:
Position (°2θ)	Rel. int.
32.28	100
32.14	99
31.27	59
30.26	50
56.25	41
44.08	36
35.10	24
58.62	17

Crystal structure
```
18
Lattice="5.6598 -8.5806 0.0000 5.6598 8.5806 0.0000 -0.0361 0.0000 5.9063" Properties=species:S:1:pos:R:3 pbc="T T T"
Ac 0.0000 0.0000 0.0000
Tb 5.6417 5.7376 2.9532
Tb 5.6598 2.9900 0.0000
Tb 5.6417 0.0000 2.9532
Tb 5.6598 -2.9900 0.0000
Tb 5.6417 -5.7376 2.9532
Er 2.0462 2.8643 5.5736
Er 3.6851 2.8845 2.6360
Er 2.0735 0.0000 3.1806
Er 3.8100 0.0000 0.2414
Er 2.0462 -2.8643 5.5736
Er 3.6851 -2.8845 2.6360
Er 7.5983 2.8845 3.2703
Er 9.2372 2.8643 0.3327
Er 7.4733 0.0000 5.6649
Er 9.2098 0.0000 2.7258
Er 7.5983 -2.8845 3.2703
Er 9.2372 -2.8643 0.3327
```

[3]
AcTb3Er7: calculated X-ray diffraction stick pattern (Cu Ka), based on a cell relaxed with GGA-PBE.
Lines closer than 0.1° are merged.

Top 8 peaks for 15 to 90 degrees two-theta, by intensity:
Position (°2θ)	Rel. int.
31.47	100
33.01	73
32.24	70
32.10	61
32.00	29
31.22	29
32.66	22
62.96	18

Crystal structure
```
11
Lattice="6.9771 0.0000 0.0000 0.0000 5.5534 0.0000 -3.1241 0.0000 9.3289" Properties=species:S:1:pos:R:3 pbc="T T T"
Ac 0.0000 0.0000 0.0000
Tb 0.3882 2.7767 4.5955
Tb 3.4886 0.0000 0.0000
Tb 3.4648 2.7767 4.7334
Er -1.5620 0.0000 4.6644
Er -1.4284 2.7767 7.3535
Er 1.8604 2.7767 1.3462
Er 2.0011 0.0000 3.1048
Er 1.8519 0.0000 6.2241
Er 1.9926 2.7767 7.9827
Er 5.2815 2.7767 1.9754
```

[4]
Ac2Tb6Er: calculated X-ray diffraction stick pattern (Cu Ka), based on a cell relaxed with GGA-PBE.
Lines closer than 0.1° are merged.

Top 8 peaks for 15 to 90 degrees two-theta, by intensity:
Position (°2θ)	Rel. int.
30.53	100
30.99	79
32.24	78
31.18	52
36.66	26
26.60	24
52.14	23
59.86	20

Crystal structure
```
9
Lattice="8.7976 0.0000 0.0000 0.0000 3.6382 0.0000 -2.0993 0.0000 9.8934" Properties=species:S:1:pos:R:3 pbc="T T T"
Ac 0.7366 0.0000 4.5596
Ac 5.9617 0.0000 5.3338
Tb -0.5556 1.8191 7.7708
Tb 1.4105 0.0000 0.9722
Tb 3.5566 1.8191 3.1965
Tb 3.1417 1.8191 6.6969
Tb 5.2878 0.0000 8.9213
Tb 7.2539 1.8191 2.1227
Er 4.3988 1.8191 0.0000
```

[5]
AcTb3Er6: calculated X-ray diffraction stick pattern (Cu Ka), based on a cell relaxed with GGA-PBE.
Lines closer than 0.1° are merged.

Top 8 peaks for 15 to 90 degrees two-theta, by intensity:
Position (°2θ)	Rel. int.
32.40	100
31.53	66
32.04	57
34.19	33
34.27	32
31.86	28
45.81	21
31.17	19

Crystal structure
```
10
Lattice="5.5872 0.0000 0.0000 -2.7735 8.0616 0.0000 -2.7889 -3.5391 7.6750" Properties=species:S:1:pos:R:3 pbc="T T T"
Ac 0.0000 0.0000 0.0000
Tb -2.7812 2.2613 3.8375
Tb -2.7738 5.1390 2.3243
Tb 2.7985 -0.6164 5.3506
Er 0.0175 3.3295 1.1178
Er 0.0072 0.2816 3.4908
Er 0.0023 -2.3780 5.7861
Er 0.0225 6.9005 1.8889
Er 0.0175 4.2410 4.1842
Er 0.0073 1.1930 6.5572
```

[6]
Ac4TbEr: calculated X-ray diffraction stick pattern (Cu Ka), based on a cell relaxed with GGA-PBE.
Lines closer than 0.1° are merged.

Top 8 peaks for 15 to 90 degrees two-theta, by intensity:
Position (°2θ)	Rel. int.
28.34	100
29.58	83
30.66	42
28.80	31
57.57	28
40.26	24
51.44	24
42.56	22

Crystal structure
```
6
Lattice="3.7185 0.0000 0.0000 0.0000 5.8328 0.0000 0.0000 0.0000 11.2245" Properties=species:S:1:pos:R:3 pbc="T T T"
Ac 0.0000 0.0000 1.7571
Ac 0.0000 0.0000 9.4673
Ac 0.0000 2.9164 3.8377
Ac 0.0000 2.9164 7.3868
Tb 1.8593 0.0000 5.6122
Er 1.8593 2.9164 0.0000
```